Record 1
# TlCd2Hg6
Calculated powder X-ray diffraction pattern, CuKα. Input: a GGA-PBE-relaxed structure.
Peak positions follow from Bragg's law for the DFT cell and can differ from measured ones.

Peak list (12 most intense, 2θ from 10° to 90°, low angle first)
2θ (°)	I/Imax
31.58	43.9
33.48	100.0
33.87	46.1
34.42	38.5
37.31	27.4
39.95	12.4
42.08	14.1
44.62	19.0
60.35	16.3
68.15	26.6
68.39	12.3
88.13	14.0

Cell and atoms:
```
data_TlCd2Hg6
_chemical_formula_sum 'Tl1 Cd2 Hg6'
_cell_length_a 9.3416
_cell_length_b 9.3416
_cell_length_c 3.2080
_cell_angle_alpha 99.89
_cell_angle_beta 99.89
_cell_angle_gamma 59.77
_space_group_name_H-M_alt 'P 1'
_space_group_IT_number 1
_space_group_name_Hall 'P 1'
loop_
_atom_site_label
_atom_site_fract_x
_atom_site_fract_y
_atom_site_fract_z
Tl1 0.0000 0.0000 0.0000
Cd1 0.3455 0.3455 0.8428
Cd2 0.6545 0.6545 0.1572
Hg1 0.0041 0.3442 0.6732
Hg2 0.3312 0.6688 0.5000
Hg3 0.3442 0.0041 0.6732
Hg4 0.6558 0.9959 0.3268
Hg5 0.6688 0.3312 0.5000
Hg6 0.9959 0.6558 0.3268
```

***

Record 2
# Tl2Cd2Hg3
Calculated powder X-ray diffraction pattern, CuKα. Input: a GGA-PBE-relaxed structure.
Peak positions follow from Bragg's law for the DFT cell and can differ from measured ones.

Peak list (12 most intense, 2θ from 10° to 90°, low angle first)
2θ (°)	I/Imax
29.14	92.9
30.70	100.0
31.11	31.3
32.50	74.2
34.49	54.3
35.03	73.0
36.12	61.0
37.64	49.6
41.94	47.0
55.60	24.7
60.88	26.7
64.85	27.5

Cell and atoms:
```
data_Tl2Cd2Hg3
_chemical_formula_sum 'Tl4 Cd4 Hg6'
_cell_length_a 15.4282
_cell_length_b 3.3061
_cell_length_c 8.2686
_cell_angle_alpha 90.00
_cell_angle_beta 113.04
_cell_angle_gamma 90.00
_space_group_name_H-M_alt 'P 1'
_space_group_IT_number 1
_space_group_name_Hall 'P 1'
loop_
_atom_site_label
_atom_site_fract_x
_atom_site_fract_y
_atom_site_fract_z
Tl1 0.0881 0.0000 0.4164
Tl2 0.4119 0.5000 0.5836
Tl3 0.5881 0.5000 0.4164
Tl4 0.9119 0.0000 0.5836
Cd1 0.1305 0.5000 0.8167
Cd2 0.3695 0.0000 0.1833
Cd3 0.6305 0.0000 0.8167
Cd4 0.8695 0.5000 0.1833
Hg1 0.0000 0.5000 0.0000
Hg2 0.2142 0.5000 0.2316
Hg3 0.2858 0.0000 0.7684
Hg4 0.5000 0.0000 0.0000
Hg5 0.7142 0.0000 0.2316
Hg6 0.7858 0.5000 0.7684
```

***

Record 3
# Tl2Cd3Hg4
Calculated powder X-ray diffraction pattern, CuKα. Input: a GGA-PBE-relaxed structure.
Peak positions follow from Bragg's law for the DFT cell and can differ from measured ones.

Peak list (12 most intense, 2θ from 10° to 90°, low angle first)
2θ (°)	I/Imax
31.52	100.0
31.93	99.8
32.56	88.4
35.40	74.3
37.06	65.9
37.36	59.6
39.99	53.3
51.37	21.4
52.60	24.7
54.21	19.3
55.85	19.5
66.77	22.8

Cell and atoms:
```
data_Tl2Cd3Hg4
_chemical_formula_sum 'Tl2 Cd3 Hg4'
_cell_length_a 5.3274
_cell_length_b 5.9848
_cell_length_c 7.8172
_cell_angle_alpha 85.48
_cell_angle_beta 75.83
_cell_angle_gamma 82.12
_space_group_name_H-M_alt 'P 1'
_space_group_IT_number 1
_space_group_name_Hall 'P 1'
loop_
_atom_site_label
_atom_site_fract_x
_atom_site_fract_y
_atom_site_fract_z
Tl1 0.1368 0.2218 0.0536
Tl2 0.8632 0.7782 0.9464
Cd1 0.0000 0.0000 0.5000
Cd2 0.2275 0.4417 0.6005
Cd3 0.7725 0.5583 0.3995
Hg1 0.3173 0.6647 0.1985
Hg2 0.4367 0.8852 0.7046
Hg3 0.5633 0.1148 0.2954
Hg4 0.6827 0.3353 0.8015
```

***

Record 4
# TlCd3Hg7
Calculated powder X-ray diffraction pattern, CuKα. Input: a GGA-PBE-relaxed structure.
Peak positions follow from Bragg's law for the DFT cell and can differ from measured ones.

Peak list (12 most intense, 2θ from 10° to 90°, low angle first)
2θ (°)	I/Imax
23.21	10.5
28.67	11.6
30.97	52.1
33.06	18.7
33.34	35.6
35.20	64.1
35.38	100.0
38.90	13.8
53.75	12.5
55.05	19.8
63.62	17.3
65.99	15.4

Cell and atoms:
```
data_TlCd3Hg7
_chemical_formula_sum 'Tl1 Cd3 Hg7'
_cell_length_a 8.8039
_cell_length_b 8.8039
_cell_length_c 5.7750
_cell_angle_alpha 108.49
_cell_angle_beta 108.49
_cell_angle_gamma 45.59
_space_group_name_H-M_alt 'P 1'
_space_group_IT_number 1
_space_group_name_Hall 'P 1'
loop_
_atom_site_label
_atom_site_fract_x
_atom_site_fract_y
_atom_site_fract_z
Tl1 0.0000 0.0000 0.0000
Cd1 0.2594 0.7926 0.5189
Cd2 0.5002 0.5002 0.9480
Cd3 0.7926 0.2594 0.5189
Hg1 0.0869 0.5486 0.7000
Hg2 0.3674 0.3674 0.2561
Hg3 0.4180 0.9527 0.0031
Hg4 0.5486 0.0869 0.7000
Hg5 0.6621 0.6621 0.4424
Hg6 0.8485 0.8485 0.2669
Hg7 0.9527 0.4180 0.0031
```